Diffraction record for ZrSc3C. The XRD peak list is computed, not measured: it uses a cell relaxed with GGA-PBE and Cu Kα (λ = 1.5418 Å).

Top 10 peaks for 10° ≤ 2θ ≤ 80°, by intensity:
- (1 1 1), 2θ 33.5, rel. 100
- (2 0 0), 2θ 38.9, rel. 59
- (2 2 0), 2θ 56.1, rel. 37
- (3 1 1), 2θ 67.0, rel. 36
- (1 1 0), 2θ 27.2, rel. 20
- (2 2 2), 2θ 70.4, rel. 12
- (1 0 0), 2θ 19.2, rel. 8
- (2 1 1), 2θ 48.1, rel. 8
- (2 1 0), 2θ 43.7, rel. 5
- (3 2 1), 2θ 77.0, rel. 4

Cell and atoms:
a b c (Å): 4.6345 4.6345 4.6345
angles (deg): 90.00 90.00 90.00
Sites, in units of the cell vectors:
Zr 0.0000 0.0000 0.0000
Sc 0.0000 0.5000 0.5000
Sc 0.5000 0.0000 0.5000
Sc 0.5000 0.5000 0.0000
C 0.5000 0.5000 0.5000


Diffraction record for Zr3ScC4. The XRD peak list is computed, not measured: it uses a cell relaxed with GGA-PBE and Cu Kα (λ = 1.5418 Å).

Top 10 peaks for 10° ≤ 2θ ≤ 80°, by intensity:
- (2 0 0), 2θ 32.9, rel. 100
- (1 2 1), 2θ 38.2, rel. 84
- (2 0 2), 2θ 55.1, rel. 53
- (3 2 1), 2θ 65.7, rel. 27
- (4 0 0), 2θ 69.0, rel. 17
- (4 0 -2), 2θ 65.6, rel. 14
- (1 1 0), 2θ 21.1, rel. 5
- (1 0 0), 2θ 16.3, rel. 4
- (0 1 0), 2θ 13.3, rel. 3
- (0 2 1), 2θ 31.5, rel. 2

Cell and atoms:
a b c (Å): 5.7758 6.6624 5.7797
angles (deg): 90.00 109.58 90.00
Sites, in units of the cell vectors:
Zr 0.0000 0.1238 0.2500
Zr 0.0000 0.3738 0.7500
Zr 0.0000 0.6262 0.2500
Zr 0.0000 0.8762 0.7500
Zr 0.5000 0.3736 0.2500
Zr 0.5000 0.6264 0.7500
Sc 0.5000 0.1242 0.7500
Sc 0.5000 0.8758 0.2500
C 0.2472 0.1267 0.0009
C 0.2472 0.8733 0.5009
C 0.2499 0.3762 0.4986
C 0.2499 0.6238 0.9986
C 0.7501 0.3762 0.0014
C 0.7501 0.6238 0.5014
C 0.7528 0.1267 0.4991
C 0.7528 0.8733 0.9991


Diffraction record for Zr2Sc2C3. The XRD peak list is computed, not measured: it uses a cell relaxed with GGA-PBE and Cu Kα (λ = 1.5418 Å).

Top 10 peaks for 10° ≤ 2θ ≤ 80°, by intensity:
- (4 0 1), 2θ 33.9, rel. 100
- (4 0 -1), 2θ 31.2, rel. 74
- (0 0 2), 2θ 36.5, rel. 67
- (5 1 0), 2θ 43.8, rel. 53
- (1 1 0), 2θ 27.9, rel. 47
- (1 1 1), 2θ 33.7, rel. 45
- (1 1 -1), 2θ 33.1, rel. 45
- (2 0 1), 2θ 23.4, rel. 41
- (3 1 -1), 2θ 37.8, rel. 38
- (3 1 1), 2θ 39.5, rel. 27

Cell and atoms:
a b c (Å): 13.3065 3.2970 4.9391
angles (deg): 90.00 94.96 90.00
Sites, in units of the cell vectors:
Zr 0.0720 0.0000 0.2624
Zr 0.4280 0.5000 0.7376
Zr 0.5720 0.5000 0.2624
Zr 0.9280 0.0000 0.7376
Sc 0.1928 0.5000 0.7445
Sc 0.3072 0.0000 0.2555
Sc 0.6928 0.0000 0.7445
Sc 0.8072 0.5000 0.2555
C 0.0000 0.5000 0.5000
C 0.1919 0.5000 0.2310
C 0.3081 0.0000 0.7690
C 0.5000 0.0000 0.5000
C 0.6919 0.0000 0.2310
C 0.8081 0.5000 0.7690


Diffraction record for CSe3. The XRD peak list is computed, not measured: it uses a cell relaxed with GGA-PBE and Cu Kα (λ = 1.5418 Å).

Top 10 peaks for 10° ≤ 2θ ≤ 80°, by intensity:
- (1 1 0), 2θ 25.9, rel. 100
- (1 1 3), 2θ 43.3, rel. 49
- (1 0 1), 2θ 18.7, rel. 28
- (3 -1 1), 2θ 41.7, rel. 26
- (0 0 3), 2θ 34.1, rel. 25
- (1 2 2), 2θ 46.4, rel. 19
- (2 3 2), 2θ 73.2, rel. 13
- (3 0 0), 2θ 45.6, rel. 12
- (3 0 3), 2θ 58.2, rel. 11
- (0 1 2), 2θ 27.1, rel. 11

Cell and atoms:
a b c (Å): 6.8871 6.8871 7.8814
angles (deg): 90.00 90.00 120.00
Sites, in units of the cell vectors:
C 0.0000 0.0000 0.0000
C 0.3333 0.6667 0.6667
C 0.6667 0.3333 0.3333
Se 0.0117 0.7340 0.0002
Se 0.0557 0.6550 0.6669
Se 0.2660 0.2776 0.0002
Se 0.3450 0.4007 0.6669
Se 0.3890 0.3217 0.3335
Se 0.5993 0.9443 0.6669
Se 0.6783 0.0674 0.3335
Se 0.7224 0.9883 0.0002
Se 0.9326 0.6110 0.3335


Diffraction record for CSe3. The XRD peak list is computed, not measured: it uses a cell relaxed with GGA-PBE and Cu Kα (λ = 1.5418 Å).

Top 10 peaks for 10° ≤ 2θ ≤ 80°, by intensity:
- (1 1 1), 2θ 22.1, rel. 100
- (0 1 1), 2θ 14.5, rel. 85
- (0 0 3), 2θ 31.8, rel. 80
- (1 2 1), 2θ 28.5, rel. 49
- (1 1 0), 2θ 22.3, rel. 48
- (1 -1 1), 2θ 30.2, rel. 48
- (0 0 1), 2θ 10.5, rel. 44
- (1 0 0), 2θ 21.4, rel. 43
- (-1 1 1), 2θ 29.2, rel. 41
- (0 0 2), 2θ 21.1, rel. 37

Cell and atoms:
a b c (Å): 4.3522 7.2440 8.9005
angles (deg): 72.26 79.59 74.06
Sites, in units of the cell vectors:
C 0.0000 0.0000 0.0000
C 0.2205 0.0024 0.6574
Se 0.0503 0.6829 0.3675
Se 0.2147 0.7455 0.0555
Se 0.2470 0.1129 0.4362
Se 0.4298 0.7473 0.7374
Se 0.8147 0.4172 0.4024
Se 0.9675 0.1606 0.8020


Diffraction record for CSe4. The XRD peak list is computed, not measured: it uses a cell relaxed with GGA-PBE and Cu Kα (λ = 1.5418 Å).

Top 10 peaks for 10° ≤ 2θ ≤ 80°, by intensity:
- (3 0 1), 2θ 42.2, rel. 100
- (2 0 0), 2θ 21.3, rel. 78
- (1 0 1), 2θ 28.8, rel. 65
- (3 1 0), 2θ 33.9, rel. 61
- (1 1 0), 2θ 15.0, rel. 52
- (2 3 1), 2θ 47.7, rel. 50
- (2 1 1), 2θ 36.1, rel. 46
- (3 3 0), 2θ 46.1, rel. 32
- (6 1 1), 2θ 74.7, rel. 21
- (3 4 1), 2θ 62.1, rel. 19

Cell and atoms:
a b c (Å): 8.3587 8.3587 3.3414
angles (deg): 90.00 90.00 90.00
Sites, in units of the cell vectors:
C 0.0000 0.0000 0.0000
C 0.5000 0.5000 0.5000
Se 0.1464 0.1925 0.5000
Se 0.1925 0.8536 0.5000
Se 0.3075 0.6464 0.0000
Se 0.3536 0.3075 0.0000
Se 0.6464 0.6925 0.0000
Se 0.6925 0.3536 0.0000
Se 0.8075 0.1464 0.5000
Se 0.8536 0.8075 0.5000


Diffraction record for CSe3. The XRD peak list is computed, not measured: it uses a cell relaxed with GGA-PBE and Cu Kα (λ = 1.5418 Å).

Top 10 peaks for 10° ≤ 2θ ≤ 80°, by intensity:
- (1 0 0), 2θ 19.6, rel. 100
- (1 0 1), 2θ 22.7, rel. 55
- (0 1 -1), 2θ 27.3, rel. 44
- (1 1 -1), 2θ 32.0, rel. 34
- (0 1 2), 2θ 33.5, rel. 31
- (0 2 1), 2θ 39.2, rel. 24
- (2 0 1), 2θ 40.0, rel. 22
- (1 2 1), 2θ 36.8, rel. 21
- (2 2 2), 2θ 47.9, rel. 17
- (0 0 1), 2θ 15.6, rel. 15

Cell and atoms:
a b c (Å): 4.9086 4.9978 6.0075
angles (deg): 74.34 75.14 70.12
Sites, in units of the cell vectors:
C 0.0000 0.0000 0.0000
Se 0.1098 0.2680 0.7484
Se 0.8570 0.0259 0.3114
Se 0.9646 0.6198 0.0471


Diffraction record for CSe4. The XRD peak list is computed, not measured: it uses a cell relaxed with GGA-PBE and Cu Kα (λ = 1.5418 Å).

Top 6 peaks for 10° ≤ 2θ ≤ 80°, by intensity:
- (1 1 1), 2θ 34.8, rel. 100
- (2 0 0), 2θ 40.4, rel. 56
- (3 1 1), 2θ 69.9, rel. 39
- (2 2 0), 2θ 58.5, rel. 37
- (2 2 2), 2θ 73.5, rel. 12
- (1 0 0), 2θ 19.9, rel. 1

Cell and atoms:
a b c (Å): 4.4643 4.4643 4.4643
angles (deg): 90.00 90.00 90.00
Sites, in units of the cell vectors:
C 0.0000 0.0000 0.0000
Se 0.0000 0.0000 0.5000
Se 0.0000 0.5000 0.0000
Se 0.5000 0.0000 0.0000
Se 0.5000 0.5000 0.5000


Diffraction record for CSe3. The XRD peak list is computed, not measured: it uses a cell relaxed with GGA-PBE and Cu Kα (λ = 1.5418 Å).

Top 10 peaks for 10° ≤ 2θ ≤ 80°, by intensity:
- (1 5 0), 2θ 23.4, rel. 100
- (1 3 0), 2θ 19.9, rel. 49
- (0 6 1), 2θ 28.3, rel. 47
- (1 1 -1), 2θ 27.1, rel. 42
- (1 11 -1), 2θ 43.8, rel. 38
- (1 3 1), 2θ 30.3, rel. 30
- (2 6 -1), 2θ 45.0, rel. 22
- (0 4 1), 2θ 24.7, rel. 19
- (2 2 0), 2θ 36.3, rel. 16
- (0 8 1), 2θ 32.7, rel. 15

Cell and atoms:
a b c (Å): 5.0343 29.0924 4.1630
angles (deg): 90.00 93.89 90.00
Sites, in units of the cell vectors:
C 0.0000 0.1587 0.0000
C 0.0000 0.8413 0.5000
C 0.5000 0.3413 0.5000
C 0.5000 0.6587 0.0000
Se 0.1544 0.1108 0.1595
Se 0.1544 0.8892 0.6595
Se 0.1932 0.4793 0.1052
Se 0.1932 0.5207 0.6052
Se 0.3440 0.2934 0.3418
Se 0.3440 0.7066 0.8418
Se 0.6544 0.3892 0.6595
Se 0.6544 0.6108 0.1595
Se 0.6932 0.0207 0.6052
Se 0.6932 0.9793 0.1052
Se 0.8440 0.2066 0.8418
Se 0.8440 0.7934 0.3418


Diffraction record for C4Se. The XRD peak list is computed, not measured: it uses a cell relaxed with GGA-PBE and Cu Kα (λ = 1.5418 Å).

Top 10 peaks for 10° ≤ 2θ ≤ 80°, by intensity:
- (0 1 1), 2θ 39.2, rel. 100
- (0 0 1), 2θ 15.5, rel. 90
- (0 1 2), 2θ 48.2, rel. 43
- (0 1 3), 2θ 61.1, rel. 28
- (1 0 0), 2θ 35.7, rel. 28
- (0 0 2), 2θ 31.3, rel. 26
- (1 1 0), 2θ 64.2, rel. 18
- (1 1 1), 2θ 66.5, rel. 13
- (1 1 2), 2θ 73.2, rel. 13
- (2 0 1), 2θ 77.8, rel. 12

Cell and atoms:
a b c (Å): 2.9023 2.9023 5.7080
angles (deg): 90.00 90.00 120.00
Sites, in units of the cell vectors:
C 0.3333 0.6667 0.1936
C 0.3333 0.6667 0.4500
C 0.6667 0.3333 0.5500
C 0.6667 0.3333 0.8064
Se 0.0000 0.0000 0.0000


Diffraction record for Ta4C2Se. The XRD peak list is computed, not measured: it uses a cell relaxed with GGA-PBE and Cu Kα (λ = 1.5418 Å).

Top 10 peaks for 10° ≤ 2θ ≤ 80°, by intensity:
- (1 1 2), 2θ 31.8, rel. 100
- (2 0 0), 2θ 38.2, rel. 53
- (2 0 4), 2θ 52.2, rel. 41
- (0 0 4), 2θ 34.2, rel. 34
- (3 1 2), 2θ 65.1, rel. 27
- (2 2 4), 2θ 66.5, rel. 20
- (1 1 6), 2θ 59.7, rel. 18
- (2 2 0), 2θ 55.2, rel. 18
- (0 0 8), 2θ 72.0, rel. 4
- (0 0 2), 2θ 16.9, rel. 3

Cell and atoms:
a b c (Å): 4.7099 4.7099 10.4935
angles (deg): 90.00 90.00 90.00
Sites, in units of the cell vectors:
Ta 0.0000 0.0000 0.2482
Ta 0.0000 0.0000 0.7518
Ta 0.0000 0.5000 0.0000
Ta 0.0000 0.5000 0.5000
Ta 0.5000 0.0000 0.0000
Ta 0.5000 0.0000 0.5000
Ta 0.5000 0.5000 0.2518
Ta 0.5000 0.5000 0.7482
C 0.0000 0.0000 0.4348
C 0.0000 0.0000 0.5652
C 0.5000 0.5000 0.0652
C 0.5000 0.5000 0.9348
Se 0.0000 0.0000 0.0000
Se 0.5000 0.5000 0.5000


Diffraction record for Ta2CSe2. The XRD peak list is computed, not measured: it uses a cell relaxed with GGA-PBE and Cu Kα (λ = 1.5418 Å).

Top 10 peaks for 10° ≤ 2θ ≤ 80°, by intensity:
- (1 1 2), 2θ 37.4, rel. 100
- (0 2 0), 2θ 55.1, rel. 54
- (1 1 -3), 2θ 38.7, rel. 53
- (2 0 -3), 2θ 36.7, rel. 49
- (1 1 0), 2θ 31.1, rel. 35
- (1 1 -2), 2θ 34.1, rel. 29
- (0 0 5), 2θ 43.9, rel. 28
- (1 1 3), 2θ 43.1, rel. 25
- (1 1 -1), 2θ 31.4, rel. 24
- (2 0 2), 2θ 39.4, rel. 24

Cell and atoms:
a b c (Å): 5.7782 3.3361 10.5362
angles (deg): 90.00 102.00 90.00
Sites, in units of the cell vectors:
Ta 0.2091 0.0000 0.1120
Ta 0.2909 0.5000 0.8880
Ta 0.7091 0.5000 0.1120
Ta 0.7909 0.0000 0.8880
C 0.0000 0.5000 0.0000
C 0.5000 0.0000 0.0000
Se 0.0581 0.0000 0.7134
Se 0.4419 0.5000 0.2866
Se 0.5581 0.5000 0.7134
Se 0.9419 0.0000 0.2866